Entry 1:
Computed powder diffractogram of KLa2CoO5 for copper Kα, from DFT lattice parameters and positions (GGA+U).
Kinematic intensities with the Lorentz-polarization factor, no thermal factor.

Structural model:
Cell lengths 6.918, 6.918, 5.729 Å; angles 90.00, 90.00, 90.00 degrees
Space group P4/mbm (No. 127)
Unique sites:
K (0.000, 0.000, 0.000) [2 per cell]
La (0.181, 0.319, 0.500) [4 per cell]
Co (0.000, 0.500, 0.000) [2 per cell]
O (0.000, 0.000, 0.500) [2 per cell]
O (0.129, 0.629, 0.235) [8 per cell]

Peak list (10 most intense, 2θ from 5° to 70°, by angle)
d = 5.729 Å, 2θ 15.47, I = 57, hkl 0 0 1
d = 3.094 Å, 2θ 28.86, I = 31, hkl 2 1 0
d = 2.961 Å, 2θ 30.18, I = 100, hkl 2 0 1
d = 2.864 Å, 2θ 31.22, I = 35, hkl 0 0 2
d = 2.722 Å, 2θ 32.90, I = 86, hkl 2 1 1
d = 2.446 Å, 2θ 36.75, I = 23, hkl 2 2 0
d = 2.102 Å, 2θ 43.03, I = 59, hkl 2 1 2
d = 2.044 Å, 2θ 44.32, I = 21, hkl 3 1 1
d = 1.610 Å, 2θ 57.21, I = 28, hkl 4 1 1
d = 1.448 Å, 2θ 64.35, I = 20, hkl 4 1 2

Entry 2:
Computed powder diffractogram of KLi2CoO4 for copper Kα, from DFT lattice parameters and positions (GGA+U).
Kinematic intensities with the Lorentz-polarization factor, no thermal factor.

Structural model:
Cell lengths 5.300, 5.300, 7.369 Å; angles 90.00, 90.00, 90.00 degrees
Space group I-42m (No. 121)
Unique sites:
K (0.000, 0.000, 0.000) [2 per cell]
Li (0.000, 0.500, 0.250) [4 per cell]
Co (0.000, 0.000, 0.500) [2 per cell]
O (0.183, 0.183, 0.352) [8 per cell]

Peak list (10 most intense, 2θ from 5° to 70°, by angle)
d = 4.303 Å, 2θ 20.64, I = 36, hkl 1 0 1
d = 3.748 Å, 2θ 23.74, I = 97, hkl 1 1 0
d = 3.685 Å, 2θ 24.15, I = 22, hkl 0 0 2
d = 2.650 Å, 2θ 33.83, I = 16, hkl 2 0 0
d = 2.627 Å, 2θ 34.12, I = 100, hkl 1 1 2
d = 2.151 Å, 2θ 42.00, I = 39, hkl 2 0 2
d = 1.874 Å, 2θ 48.59, I = 22, hkl 2 2 0
d = 1.670 Å, 2θ 54.98, I = 12, hkl 2 2 2
d = 1.526 Å, 2θ 60.71, I = 32, hkl 3 1 2
d = 1.513 Å, 2θ 61.28, I = 22, hkl 2 0 4

Entry 3:
Computed powder diffractogram of K2Li3CoO4 for copper Kα, from DFT lattice parameters and positions (GGA+U).
Kinematic intensities with the Lorentz-polarization factor, no thermal factor.

Structural model:
Cell lengths 5.585, 8.871, 11.058 Å; angles 90.00, 111.37, 90.00 degrees
Space group P2_1/c (No. 14)
Unique sites:
K (0.207, 0.009, 0.362) [4 per cell]
K (0.218, 0.228, 0.607) [4 per cell]
Li (0.123, 0.733, 0.700) [4 per cell]
Li (0.132, 0.001, 0.933) [4 per cell]
Li (0.403, 0.534, 0.298) [4 per cell]
Co (0.405, 0.714, 0.566) [4 per cell]
O (0.243, 0.549, 0.624) [4 per cell]
O (0.250, 0.170, 0.855) [4 per cell]
O (0.264, 0.694, 0.381) [4 per cell]
O (0.273, 0.610, 0.112) [4 per cell]

Peak list (10 most intense, 2θ from 5° to 70°, by angle)
d = 4.441 Å, 2θ 20.00, I = 59, hkl 0 2 0
d = 4.076 Å, 2θ 21.80, I = 85, hkl 1 1 -2
d = 3.361 Å, 2θ 26.52, I = 33, hkl 0 2 2
d = 2.636 Å, 2θ 34.00, I = 48, hkl 2 1 -2
d = 2.616 Å, 2θ 34.28, I = 41, hkl 1 1 -4
d = 2.604 Å, 2θ 34.44, I = 100, hkl 2 0 0
d = 2.574 Å, 2θ 34.85, I = 70, hkl 0 0 4
d = 2.559 Å, 2θ 35.06, I = 80, hkl 1 2 2
d = 2.495 Å, 2θ 35.99, I = 34, hkl 2 1 0
d = 2.018 Å, 2θ 44.91, I = 49, hkl 2 3 -2

Entry 4:
Computed powder diffractogram of KLiCoO2 for copper Kα, from DFT lattice parameters and positions (GGA+U).
Kinematic intensities with the Lorentz-polarization factor, no thermal factor.

Structural model:
Cell lengths 10.923, 3.392, 8.351 Å; angles 90.00, 120.44, 90.00 degrees
Space group C2/m (No. 12)
Unique sites:
K (0.166, 0.000, 0.129) [4 per cell]
Li (0.158, 0.500, 0.443) [4 per cell]
Co (0.042, 0.000, 0.680) [4 per cell]
O (0.040, 0.500, 0.805) [4 per cell]
O (0.161, 0.000, 0.562) [4 per cell]

Peak list (10 most intense, 2θ from 5° to 70°, by angle)
d = 5.384 Å, 2θ 16.47, I = 51, hkl 2 0 -1
d = 4.709 Å, 2θ 18.85, I = 40, hkl 2 0 0
d = 3.192 Å, 2θ 27.96, I = 100, hkl 1 1 0
d = 2.784 Å, 2θ 32.15, I = 49, hkl 2 0 -3
d = 2.673 Å, 2θ 33.52, I = 56, hkl 4 0 -1
d = 2.478 Å, 2θ 36.25, I = 49, hkl 3 1 -1
d = 2.344 Å, 2θ 38.41, I = 53, hkl 2 0 2
d = 2.207 Å, 2θ 40.88, I = 51, hkl 1 1 2
d = 2.098 Å, 2θ 43.13, I = 71, hkl 3 1 -3
d = 1.696 Å, 2θ 54.06, I = 31, hkl 0 2 0

Entry 5:
Computed powder diffractogram of KNdCoO4 for copper Kα, from DFT lattice parameters and positions (GGA+U).
Kinematic intensities with the Lorentz-polarization factor, no thermal factor.

Structural model:
Cell lengths 5.908, 5.817, 7.473 Å; angles 90.00, 105.27, 90.00 degrees
Space group P2_1/m (No. 11)
Unique sites:
K (0.200, 0.250, 0.422) [2 per cell]
Nd (0.287, 0.250, 0.946) [2 per cell]
Co (0.249, 0.750, 0.172) [2 per cell]
O (0.050, 0.750, 0.315) [2 per cell]
O (0.063, 0.750, 0.941) [2 per cell]
O (0.454, 0.513, 0.188) [4 per cell]

Peak list (10 most intense, 2θ from 5° to 70°, by angle)
d = 7.209 Å, 2θ 12.28, I = 100, hkl 0 0 1
d = 4.527 Å, 2θ 19.61, I = 28, hkl 0 1 1
d = 4.071 Å, 2θ 21.83, I = 25, hkl 1 1 0
d = 3.064 Å, 2θ 29.15, I = 27, hkl 0 1 2
d = 2.993 Å, 2θ 29.86, I = 18, hkl 1 1 -2
d = 2.909 Å, 2θ 30.74, I = 31, hkl 0 2 0
d = 2.615 Å, 2θ 34.30, I = 19, hkl 2 1 -1
d = 2.477 Å, 2θ 36.26, I = 25, hkl 1 1 2
d = 2.368 Å, 2θ 38.00, I = 26, hkl 2 1 -2
d = 2.036 Å, 2θ 44.51, I = 18, hkl 2 2 0